Record 1
The following is a theoretical X-ray diffraction stick pattern of Li3Fe8B8O24. It was derived from a GGA+U-relaxed structure, using a wavelength of 1.5418 Å.
Kinematic intensities with the Lorentz-polarization factor, no thermal factor.

Cell and atoms:
a = 5.312 Å, b = 9.036 Å, c = 10.136 Å
α = 89.45°, β = 88.89°, γ = 89.53°
Fractional coordinates of all 43 atoms:
Li 0.000 0.000 0.000
Li 0.199 0.507 0.248
Li 0.505 0.523 0.509
Fe 0.009 0.342 0.528
Fe 0.013 0.665 0.025
Fe 0.177 0.858 0.276
Fe 0.198 0.182 0.777
Fe 0.507 0.184 0.031
Fe 0.513 0.852 0.515
Fe 0.687 0.685 0.782
Fe 0.700 0.346 0.274
B 0.018 0.679 0.526
B 0.021 0.336 0.030
B 0.182 0.186 0.276
B 0.189 0.843 0.773
B 0.504 0.852 0.020
B 0.521 0.185 0.531
B 0.682 0.349 0.775
B 0.684 0.677 0.285
O 0.043 0.722 0.805
O 0.051 0.062 0.271
O 0.073 0.317 0.333
O 0.105 0.983 0.801
O 0.130 0.541 0.521
O 0.142 0.206 0.979
O 0.149 0.462 0.050
O 0.154 0.803 0.493
O 0.254 0.843 0.059
O 0.275 0.206 0.583
O 0.421 0.205 0.221
O 0.430 0.821 0.718
O 0.543 0.230 0.826
O 0.553 0.547 0.298
O 0.560 0.808 0.323
O 0.585 0.487 0.765
O 0.621 0.049 0.521
O 0.630 0.986 0.021
O 0.638 0.728 0.975
O 0.649 0.314 0.495
O 0.761 0.691 0.563
O 0.771 0.322 0.065
O 0.927 0.318 0.728
O 0.934 0.679 0.241

The 10 most intense peaks (2θ = 5–70°), by intensity:
| 2θ (°) | intensity |
| --- | --- |
| 21.44 | 100 |
| 35.43 | 74 |
| 19.65 | 64 |
| 26.45 | 42 |
| 26.13 | 33 |
| 34.10 | 29 |
| 34.35 | 24 |
| 25.90 | 23 |
| 33.75 | 22 |
| 40.44 | 20 |

=====

Record 2
The following is a theoretical X-ray diffraction stick pattern of MgV2CoO6. It was derived from a GGA+U-relaxed structure, using a wavelength of 1.5418 Å.
Kinematic intensities with the Lorentz-polarization factor, no thermal factor.

Cell and atoms:
a = 5.544 Å, b = 5.544 Å, c = 6.824 Å
α = 96.34°, β = 96.34°, γ = 40.31°
Fractional coordinates of all 10 atoms:
Mg 0.000 0.000 0.000
V 0.074 0.074 0.428
V 0.656 0.656 0.770
Co 0.734 0.734 0.182
O 0.105 0.105 0.720
O 0.177 0.177 0.218
O 0.547 0.547 0.968
O 0.626 0.626 0.480
O 0.809 0.809 0.900
O 0.921 0.921 0.301

The 10 most intense peaks (2θ = 5–70°), by intensity:
| 2θ (°) | intensity |
| --- | --- |
| 17.16 | 100 |
| 24.85 | 53 |
| 27.68 | 37 |
| 41.71 | 28 |
| 47.60 | 27 |
| 35.71 | 27 |
| 33.28 | 23 |
| 46.65 | 19 |
| 35.07 | 19 |
| 53.51 | 17 |

=====

Record 3
The following is a theoretical X-ray diffraction stick pattern of Li6CrNiP2C2O14. It was derived from a GGA+U-relaxed structure, using a wavelength of 1.5418 Å.
Kinematic intensities with the Lorentz-polarization factor, no thermal factor.

Cell and atoms:
a = 4.996 Å, b = 6.444 Å, c = 8.515 Å
α = 90.00°, β = 94.60°, γ = 90.00°
Fractional coordinates of all 26 atoms:
Li 0.000 0.000 0.000
Li 0.016 0.271 0.628
Li 0.016 0.729 0.628
Li 0.513 0.229 0.177
Li 0.513 0.771 0.177
Li 0.532 0.500 0.800
Cr 0.978 0.500 0.238
Ni 0.559 0.000 0.570
P 0.046 0.000 0.319
P 0.487 0.500 0.492
C 0.061 0.500 0.935
C 0.468 0.000 0.864
O 0.132 0.500 0.792
O 0.175 0.500 0.481
O 0.246 0.500 0.053
O 0.281 0.000 0.748
O 0.360 0.000 0.339
O 0.405 0.000 0.009
O 0.583 0.500 0.323
O 0.597 0.311 0.592
O 0.597 0.689 0.592
O 0.716 0.000 0.829
O 0.813 0.500 0.964
O 0.940 0.000 0.483
O 0.941 0.186 0.214
O 0.941 0.814 0.214

The 10 most intense peaks (2θ = 5–70°), by intensity:
| 2θ (°) | intensity |
| --- | --- |
| 27.69 | 100 |
| 10.42 | 89 |
| 21.40 | 51 |
| 19.93 | 38 |
| 26.48 | 34 |
| 36.79 | 28 |
| 17.28 | 25 |
| 40.41 | 24 |
| 25.52 | 24 |
| 36.07 | 19 |

=====

Record 4
The following is a theoretical X-ray diffraction stick pattern of TeW2O8. It was derived from a GGA+U-relaxed structure, using a wavelength of 1.5418 Å.
Kinematic intensities with the Lorentz-polarization factor, no thermal factor.

Cell and atoms:
a = 5.186 Å, b = 6.029 Å, c = 6.270 Å
α = 112.95°, β = 91.35°, γ = 104.16°
Fractional coordinates of all 11 atoms:
Te 0.000 0.000 0.000
W 0.262 0.516 0.811
W 0.765 0.572 0.191
O 0.104 0.825 0.184
O 0.181 0.788 0.758
O 0.316 0.326 0.538
O 0.407 0.383 0.023
O 0.651 0.755 0.967
O 0.693 0.772 0.456
O 0.857 0.339 0.268
O 0.921 0.364 0.847

The 10 most intense peaks (2θ = 5–70°), by intensity:
| 2θ (°) | intensity |
| --- | --- |
| 15.49 | 100 |
| 25.21 | 97 |
| 16.61 | 80 |
| 26.83 | 71 |
| 28.59 | 69 |
| 37.42 | 38 |
| 28.76 | 32 |
| 44.15 | 31 |
| 30.65 | 30 |
| 31.72 | 30 |

=====

Record 5
The following is a theoretical X-ray diffraction stick pattern of Li2MnNi3O8. It was derived from a GGA+U-relaxed structure, using a wavelength of 1.5418 Å.
Kinematic intensities with the Lorentz-polarization factor, no thermal factor.

Cell and atoms:
a = 5.677 Å, b = 5.703 Å, c = 5.866 Å
α = 118.59°, β = 90.69°, γ = 119.07°
Fractional coordinates of all 14 atoms:
Li 0.000 0.000 0.000
Li 0.500 0.000 0.000
Mn 0.000 0.500 0.500
Ni 0.000 0.000 0.500
Ni 0.500 0.000 0.500
Ni 0.500 0.500 0.500
O 0.216 0.958 0.708
O 0.259 0.506 0.716
O 0.259 0.512 0.292
O 0.274 0.052 0.303
O 0.726 0.948 0.697
O 0.741 0.488 0.708
O 0.741 0.494 0.284
O 0.784 0.042 0.292

The 10 most intense peaks (2θ = 5–70°), by intensity:
| 2θ (°) | intensity |
| --- | --- |
| 18.17 | 100 |
| 43.64 | 18 |
| 44.14 | 17 |
| 44.72 | 17 |
| 36.49 | 12 |
| 36.76 | 11 |
| 37.25 | 10 |
| 63.01 | 9 |
| 38.30 | 7 |
| 57.71 | 5 |

=====

Record 6
The following is a theoretical X-ray diffraction stick pattern of Li4MnP2O9. It was derived from a GGA+U-relaxed structure, using a wavelength of 1.5418 Å.
Kinematic intensities with the Lorentz-polarization factor, no thermal factor.

Cell and atoms:
a = 7.864 Å, b = 7.864 Å, c = 7.025 Å
α = 90.68°, β = 90.68°, γ = 51.13°
Fractional coordinates of all 32 atoms:
Li 0.000 0.500 0.500
Li 0.108 0.108 0.233
Li 0.241 0.759 0.000
Li 0.367 0.367 0.289
Li 0.500 0.000 0.500
Li 0.633 0.633 0.711
Li 0.759 0.241 0.000
Li 0.892 0.892 0.767
Mn 0.000 0.500 0.000
Mn 0.500 0.000 0.000
P 0.124 0.124 0.708
P 0.397 0.397 0.757
P 0.603 0.603 0.243
P 0.876 0.876 0.292
O 0.010 0.626 0.234
O 0.031 0.031 0.814
O 0.127 0.127 0.493
O 0.179 0.559 0.876
O 0.238 0.238 0.104
O 0.345 0.345 0.565
O 0.374 0.990 0.766
O 0.441 0.821 0.124
O 0.496 0.496 0.236
O 0.504 0.504 0.764
O 0.559 0.179 0.876
O 0.626 0.010 0.234
O 0.655 0.655 0.435
O 0.762 0.762 0.896
O 0.821 0.441 0.124
O 0.873 0.873 0.507
O 0.969 0.969 0.186
O 0.990 0.374 0.766

The 10 most intense peaks (2θ = 5–70°), by intensity:
| 2θ (°) | intensity |
| --- | --- |
| 29.20 | 100 |
| 12.60 | 90 |
| 12.48 | 82 |
| 19.17 | 52 |
| 26.34 | 44 |
| 28.03 | 40 |
| 28.50 | 39 |
| 36.83 | 30 |
| 19.28 | 27 |
| 36.65 | 23 |

=====

Record 7
The following is a theoretical X-ray diffraction stick pattern of MgMnP2O7. It was derived from a GGA+U-relaxed structure, using a wavelength of 1.5418 Å.
Kinematic intensities with the Lorentz-polarization factor, no thermal factor.

Cell and atoms:
a = 4.573 Å, b = 5.388 Å, c = 5.394 Å
α = 104.21°, β = 97.95°, γ = 97.86°
Fractional coordinates of all 11 atoms:
Mg 0.000 0.000 0.000
Mn 0.001 0.620 0.380
P 0.409 0.535 0.895
P 0.592 0.105 0.465
O 0.216 0.707 0.780
O 0.235 0.368 0.037
O 0.291 0.940 0.311
O 0.497 0.357 0.640
O 0.711 0.687 0.058
O 0.766 0.964 0.632
O 0.786 0.221 0.294

The 10 most intense peaks (2θ = 5–70°), by intensity:
| 2θ (°) | intensity |
| --- | --- |
| 29.02 | 100 |
| 30.34 | 65 |
| 28.75 | 53 |
| 34.90 | 22 |
| 43.72 | 22 |
| 41.81 | 21 |
| 56.82 | 20 |
| 17.24 | 18 |
| 49.09 | 16 |
| 34.54 | 12 |

=====

Record 8
The following is a theoretical X-ray diffraction stick pattern of Li3TiV2O6. It was derived from a GGA+U-relaxed structure, using a wavelength of 1.5418 Å.
Kinematic intensities with the Lorentz-polarization factor, no thermal factor.

Cell and atoms:
a = 2.985 Å, b = 6.061 Å, c = 6.653 Å
α = 104.09°, β = 102.91°, γ = 90.58°
Fractional coordinates of all 12 atoms:
Li 0.000 0.000 0.000
Li 0.330 0.678 0.665
Li 0.661 0.340 0.325
Ti 0.336 0.181 0.670
V 0.000 0.504 0.997
V 0.653 0.832 0.322
O 0.158 0.079 0.349
O 0.175 0.600 0.333
O 0.488 0.247 0.979
O 0.504 0.754 0.003
O 0.822 0.948 0.655
O 0.831 0.400 0.661

The 10 most intense peaks (2θ = 5–70°), by intensity:
| 2θ (°) | intensity |
| --- | --- |
| 17.91 | 100 |
| 42.29 | 31 |
| 42.74 | 30 |
| 43.25 | 29 |
| 35.13 | 14 |
| 35.69 | 13 |
| 35.43 | 13 |
| 36.99 | 9 |
| 62.21 | 8 |
| 61.18 | 8 |

=====

Record 9
The following is a theoretical X-ray diffraction stick pattern of Eu2MoO6. It was derived from a GGA+U-relaxed structure, using a wavelength of 1.5418 Å.
Kinematic intensities with the Lorentz-polarization factor, no thermal factor.

Cell and atoms:
a = 10.186 Å, b = 10.186 Å, c = 5.524 Å
α = 105.16°, β = 105.16°, γ = 68.11°
Fractional coordinates of all 36 atoms:
Eu 0.054 0.290 0.886
Eu 0.112 0.888 0.750
Eu 0.290 0.054 0.386
Eu 0.365 0.635 0.250
Eu 0.635 0.365 0.750
Eu 0.710 0.946 0.614
Eu 0.888 0.112 0.250
Eu 0.946 0.710 0.114
Mo 0.204 0.489 0.563
Mo 0.489 0.204 0.063
Mo 0.511 0.796 0.937
Mo 0.796 0.511 0.437
O 0.068 0.479 0.265
O 0.075 0.106 0.074
O 0.106 0.075 0.574
O 0.161 0.691 0.418
O 0.173 0.616 0.863
O 0.214 0.320 0.635
O 0.309 0.839 0.082
O 0.320 0.214 0.135
O 0.383 0.455 0.517
O 0.384 0.827 0.637
O 0.455 0.383 0.017
O 0.479 0.068 0.765
O 0.521 0.932 0.235
O 0.545 0.617 0.983
O 0.616 0.173 0.363
O 0.617 0.545 0.483
O 0.680 0.786 0.865
O 0.691 0.161 0.918
O 0.786 0.680 0.365
O 0.827 0.384 0.137
O 0.839 0.309 0.582
O 0.894 0.925 0.426
O 0.925 0.894 0.926
O 0.932 0.521 0.735

The 10 most intense peaks (2θ = 5–70°), by intensity:
| 2θ (°) | intensity |
| --- | --- |
| 27.90 | 100 |
| 28.14 | 91 |
| 46.61 | 27 |
| 45.73 | 27 |
| 31.37 | 23 |
| 32.42 | 20 |
| 33.57 | 18 |
| 47.05 | 16 |
| 54.96 | 14 |
| 53.74 | 13 |